Entry 1:
Computed X-ray powder pattern
Compound: Re5Rh3
Radiation: Cu Kα (λ = 1.5418 Å)
Structure: the GGA-PBE geometry in Alexandria
Peak positions follow from Bragg's law for the DFT cell and can differ from measured ones.

Structural model:
Lattice parameters (Å, degrees): 4.749 4.762 5.529 107.49 90.14 100.15
Fractional coordinates of all 8 atoms:
Re (0.000, 0.000, 0.000)
Re (0.252, 0.505, 0.374)
Re (0.495, 0.008, 0.252)
Re (0.505, 0.992, 0.748)
Re (0.748, 0.495, 0.626)
Rh (0.000, 0.000, 0.500)
Rh (0.242, 0.499, 0.875)
Rh (0.758, 0.501, 0.125)

Largest 10 diffraction maxima, in order of rising 2θ, 5 to 70 degrees two-theta:
39.98 deg, intensity 51
40.16 deg, intensity 50
40.37 deg, intensity 100
46.39 deg, intensity 34
46.78 deg, intensity 33
47.19 deg, intensity 32
67.81 deg, intensity 11
68.22 deg, intensity 32
68.37 deg, intensity 11
69.05 deg, intensity 10


Entry 2:
Computed X-ray powder pattern
Compound: CePm2Mg6
Radiation: Cu Kα (λ = 1.5418 Å)
Structure: the GGA-PBE geometry in Alexandria
Peak positions follow from Bragg's law for the DFT cell and can differ from measured ones.

Structural model:
Lattice parameters (Å, degrees): 9.186 9.186 3.277 90.00 90.00 120.00
Fractional coordinates of all 9 atoms:
Ce (0.000, 0.000, 0.000)
Pm (0.333, 0.667, 0.000)
Pm (0.667, 0.333, 0.000)
Mg (0.000, 0.333, 0.500)
Mg (0.000, 0.667, 0.500)
Mg (0.333, 0.000, 0.500)
Mg (0.333, 0.333, 0.500)
Mg (0.667, 0.000, 0.500)
Mg (0.667, 0.667, 0.500)

Largest 10 diffraction maxima, in order of rising 2θ, 5 to 70 degrees two-theta:
19.32 deg, intensity 95
33.59 deg, intensity 100
33.80 deg, intensity 65
39.23 deg, intensity 16
43.92 deg, intensity 14
48.40 deg, intensity 36
52.73 deg, intensity 14
60.33 deg, intensity 37
60.47 deg, intensity 12
67.15 deg, intensity 17


Entry 3:
Computed X-ray powder pattern
Compound: HoZrOs
Radiation: Cu Kα (λ = 1.5418 Å)
Structure: the GGA-PBE geometry in Alexandria
Peak positions follow from Bragg's law for the DFT cell and can differ from measured ones.

Structural model:
Lattice parameters (Å, degrees): 6.592 6.592 8.040 113.87 113.87 90.62
Fractional coordinates of all 12 atoms:
Ho (0.001, 0.251, 0.002)
Ho (0.251, 0.001, 0.502)
Ho (0.749, 0.999, 0.498)
Ho (0.999, 0.749, 0.998)
Zr (0.252, 0.502, 0.505)
Zr (0.498, 0.748, 0.995)
Zr (0.502, 0.252, 0.005)
Zr (0.748, 0.498, 0.495)
Os (0.140, 0.390, 0.750)
Os (0.390, 0.140, 0.250)
Os (0.610, 0.860, 0.750)
Os (0.860, 0.610, 0.250)

Largest 10 diffraction maxima, in order of rising 2θ, 5 to 70 degrees two-theta:
23.31 deg, intensity 33
23.48 deg, intensity 31
38.42 deg, intensity 26
38.68 deg, intensity 100
38.85 deg, intensity 24
45.51 deg, intensity 11
45.74 deg, intensity 13
55.79 deg, intensity 17
69.65 deg, intensity 18
69.89 deg, intensity 9


Entry 4:
Computed X-ray powder pattern
Compound: Ge3HS3
Radiation: Cu Kα (λ = 1.5418 Å)
Structure: the GGA-PBE geometry in Alexandria
Peak positions follow from Bragg's law for the DFT cell and can differ from measured ones.

Structural model:
Lattice parameters (Å, degrees): 5.252 7.418 9.128 100.24 105.96 91.45
Fractional coordinates of all 14 atoms:
Ge (0.042, 0.268, 0.137)
Ge (0.307, 0.523, 0.574)
Ge (0.422, 0.717, 0.850)
Ge (0.578, 0.283, 0.150)
Ge (0.693, 0.477, 0.426)
Ge (0.958, 0.732, 0.863)
H (0.150, 0.447, 0.262)
H (0.850, 0.553, 0.738)
S (0.001, 0.723, 0.484)
S (0.232, 0.329, 0.951)
S (0.339, 0.059, 0.211)
S (0.661, 0.941, 0.789)
S (0.768, 0.671, 0.049)
S (0.999, 0.277, 0.516)

Largest 10 diffraction maxima, in order of rising 2θ, 5 to 70 degrees two-theta:
12.16 deg, intensity 40
14.34 deg, intensity 100
24.66 deg, intensity 21
25.99 deg, intensity 39
31.16 deg, intensity 26
36.14 deg, intensity 16
37.58 deg, intensity 13
40.52 deg, intensity 16
42.01 deg, intensity 17
43.16 deg, intensity 14


Entry 5:
Computed X-ray powder pattern
Compound: Mg4In
Radiation: Cu Kα (λ = 1.5418 Å)
Structure: the GGA-PBE geometry in Alexandria
Peak positions follow from Bragg's law for the DFT cell and can differ from measured ones.

Structural model:
Lattice parameters (Å, degrees): 7.159 7.159 4.477 90.00 90.00 90.00
Fractional coordinates of all 10 atoms:
Mg (0.101, 0.699, 0.000)
Mg (0.199, 0.399, 0.500)
Mg (0.301, 0.101, 0.000)
Mg (0.399, 0.801, 0.500)
Mg (0.601, 0.199, 0.500)
Mg (0.699, 0.899, 0.000)
Mg (0.801, 0.601, 0.500)
Mg (0.899, 0.301, 0.000)
In (0.000, 0.000, 0.500)
In (0.500, 0.500, 0.000)

Largest 10 diffraction maxima, in order of rising 2θ, 5 to 70 degrees two-theta:
17.52 deg, intensity 38
23.44 deg, intensity 39
24.87 deg, intensity 17
34.44 deg, intensity 100
39.82 deg, intensity 33
40.29 deg, intensity 14
57.58 deg, intensity 11
57.93 deg, intensity 21
68.84 deg, intensity 23
69.49 deg, intensity 12


Entry 6:
Computed X-ray powder pattern
Compound: LaPrSm3
Radiation: Cu Kα (λ = 1.5418 Å)
Structure: the GGA-PBE geometry in Alexandria
Peak positions follow from Bragg's law for the DFT cell and can differ from measured ones.

Structural model:
Lattice parameters (Å, degrees): 9.777 9.777 9.777 146.52 136.88 55.66
Fractional coordinates of all 10 atoms:
La (0.000, 0.000, 0.000)
La (0.500, 0.000, 0.500)
Pr (0.358, 0.608, 0.750)
Pr (0.642, 0.392, 0.250)
Sm (0.141, 0.391, 0.750)
Sm (0.198, 0.200, 0.999)
Sm (0.299, 0.800, 0.499)
Sm (0.701, 0.200, 0.501)
Sm (0.802, 0.800, 0.001)
Sm (0.859, 0.609, 0.250)

Largest 10 diffraction maxima, in order of rising 2θ, 5 to 70 degrees two-theta:
29.95 deg, intensity 84
30.33 deg, intensity 100
31.78 deg, intensity 46
32.40 deg, intensity 40
33.42 deg, intensity 18
46.02 deg, intensity 30
55.48 deg, intensity 15
55.71 deg, intensity 18
56.74 deg, intensity 17
60.34 deg, intensity 28


Entry 7:
Computed X-ray powder pattern
Compound: KNi2Se
Radiation: Cu Kα (λ = 1.5418 Å)
Structure: the GGA-PBE geometry in Alexandria
Peak positions follow from Bragg's law for the DFT cell and can differ from measured ones.

Structural model:
Lattice parameters (Å, degrees): 3.900 4.766 5.300 90.00 90.00 90.00
Fractional coordinates of all 4 atoms:
K (0.000, 0.000, 0.000)
Ni (0.500, 0.242, 0.500)
Ni (0.500, 0.758, 0.500)
Se (0.000, 0.500, 0.500)

Largest 10 diffraction maxima, in order of rising 2θ, 5 to 70 degrees two-theta:
16.73 deg, intensity 100
25.13 deg, intensity 35
28.41 deg, intensity 17
33.82 deg, intensity 38
34.19 deg, intensity 38
44.56 deg, intensity 34
46.58 deg, intensity 15
47.92 deg, intensity 26
57.09 deg, intensity 31
58.79 deg, intensity 14


Entry 8:
Computed X-ray powder pattern
Compound: BaMg3Cd2
Radiation: Cu Kα (λ = 1.5418 Å)
Structure: the GGA-PBE geometry in Alexandria
Peak positions follow from Bragg's law for the DFT cell and can differ from measured ones.

Structural model:
Lattice parameters (Å, degrees): 10.897 10.897 4.932 90.00 90.00 120.00
Fractional coordinates of all 18 atoms:
Ba (0.000, 0.000, 0.000)
Ba (0.333, 0.667, 0.500)
Ba (0.667, 0.333, 0.500)
Mg (0.000, 0.300, 0.500)
Mg (0.000, 0.500, 0.000)
Mg (0.000, 0.700, 0.500)
Mg (0.300, 0.000, 0.500)
Mg (0.300, 0.300, 0.500)
Mg (0.500, 0.000, 0.000)
Mg (0.500, 0.500, 0.000)
Mg (0.700, 0.000, 0.500)
Mg (0.700, 0.700, 0.500)
Cd (0.190, 0.379, 0.000)
Cd (0.190, 0.810, 0.000)
Cd (0.379, 0.190, 0.000)
Cd (0.621, 0.810, 0.000)
Cd (0.810, 0.190, 0.000)
Cd (0.810, 0.621, 0.000)

Largest 10 diffraction maxima, in order of rising 2θ, 5 to 70 degrees two-theta:
17.98 deg, intensity 22
20.32 deg, intensity 21
24.34 deg, intensity 21
30.94 deg, intensity 100
32.88 deg, intensity 57
33.80 deg, intensity 38
36.43 deg, intensity 29
37.72 deg, intensity 26
49.88 deg, intensity 34
51.87 deg, intensity 29


Entry 9:
Computed X-ray powder pattern
Compound: In2SnI2Br2
Radiation: Cu Kα (λ = 1.5418 Å)
Structure: the GGA-PBE geometry in Alexandria
Peak positions follow from Bragg's law for the DFT cell and can differ from measured ones.

Structural model:
Lattice parameters (Å, degrees): 16.203 4.436 8.300 90.00 113.18 90.00
Fractional coordinates of all 14 atoms:
In (0.129, 0.000, 0.063)
In (0.371, 0.500, 0.937)
In (0.629, 0.500, 0.063)
In (0.871, 0.000, 0.937)
Sn (0.000, 0.000, 0.500)
Sn (0.500, 0.500, 0.500)
I (0.210, 0.000, 0.741)
I (0.290, 0.500, 0.259)
I (0.710, 0.500, 0.741)
I (0.790, 0.000, 0.259)
Br (0.020, 0.500, 0.269)
Br (0.480, 0.000, 0.731)
Br (0.520, 0.000, 0.269)
Br (0.980, 0.500, 0.731)

Largest 10 diffraction maxima, in order of rising 2θ, 5 to 70 degrees two-theta:
21.59 deg, intensity 56
26.04 deg, intensity 43
26.95 deg, intensity 81
29.65 deg, intensity 100
30.58 deg, intensity 81
30.78 deg, intensity 67
32.19 deg, intensity 66
34.27 deg, intensity 70
40.68 deg, intensity 53
44.71 deg, intensity 41